Record 1
Starting from a cell relaxed with PBE, the powder X-ray diffraction pattern of Tb2Ge2O7 was computed for a wavelength of 1.5418 Å.
No peak broadening, texture or thermal motion is included.

Structural model:
abc: 6.8993 6.8993 12.5723
angles: 90.00 90.00 90.00
Space group P4_12_12 (No. 92)
Unique sites:
1 Tb 0.1240 0.3516 0.1154
2 Ge 0.0985 0.1531 0.6301
3 O 0.0299 0.0782 0.8740
4 O 0.0639 0.6616 0.1786
5 O 0.1430 0.3142 0.2954
6 O 0.1965 0.1965 0.5000

Peak list (10 most intense, 2θ = 10–90°, sorted by position)
2θ/deg, I_rel, (hkl)
14.65, 39.5, 1 0 1
26.80, 81.3, 2 0 1
28.40, 77.8, 0 0 4
28.94, 25.9, 2 1 0
29.82, 45.8, 2 1 1
32.32, 100.0, 2 1 2
33.65, 40.7, 2 0 3
48.10, 40.4, 3 2 1
52.81, 34.7, 2 1 6
61.31, 25.5, 4 0 4



Record 2
Starting from a cell relaxed with PBE, the powder X-ray diffraction pattern of Ca5Pb3 was computed for a wavelength of 1.5418 Å.
No peak broadening, texture or thermal motion is included.

Structural model:
abc: 16.4444 16.4444 6.9198
angles: 90.00 90.00 120.00
Space group P6_3mc (No. 186)
Unique sites:
1 Ca 0.0023 0.3349 0.0000
2 Ca 0.0894 0.1787 0.2465
3 Ca 0.1541 0.5770 0.2563
4 Ca 0.2442 0.4884 0.7475
5 Pb 0.0768 0.5384 0.7527
6 Pb 0.1289 0.2578 0.7367
7 Pb 0.2043 0.4086 0.2597

Peak list (10 most intense, 2θ = 10–90°, sorted by position)
2θ/deg, I_rel, (hkl)
10.76, 25.0, 1 1 0
18.69, 33.8, 3 0 0
22.72, 100.0, 3 0 1
25.75, 38.2, 0 0 2
31.56, 63.4, 4 1 1
32.01, 53.8, 3 0 2
32.67, 50.5, 3 3 0
41.70, 44.1, 5 2 1
42.06, 25.4, 3 3 2
61.13, 23.3, 8 2 1



Record 3
Starting from a cell relaxed with PBE, the powder X-ray diffraction pattern of MgSi2 was computed for a wavelength of 1.5418 Å.
No peak broadening, texture or thermal motion is included.

Structural model:
abc: 19.6663 3.5892 5.8609
angles: 90.00 91.19 90.00
Space group Cm (No. 8)
Unique sites:
1 Mg 0.0000 0.0000 0.0000
2 Mg 0.0857 0.5000 0.7132
3 Mg 0.2573 0.5000 0.2286
4 Mg 0.3949 0.0000 0.2401
5 Si 0.0873 0.5000 0.2395
6 Si 0.1542 0.0000 0.0160
7 Si 0.1612 0.0000 0.4423
8 Si 0.2311 0.5000 0.7534
9 Si 0.3002 0.0000 0.5861
10 Si 0.3551 0.5000 0.8833
11 Si 0.4313 0.0000 0.7053
12 Si 0.4913 0.5000 0.4775

Peak list (10 most intense, 2θ = 10–90°, sorted by position)
2θ/deg, I_rel, (hkl)
29.51, 19.1, 1 1 -1
33.81, 43.7, 5 1 0
37.43, 17.1, 5 1 1
39.91, 89.9, 1 1 -2
40.06, 26.6, 1 1 2
40.81, 100.0, 7 1 0
41.78, 55.5, 6 0 2
50.88, 34.5, 0 2 0
67.21, 16.4, 6 2 -2
67.87, 25.4, 6 2 2



Record 4
Starting from a cell relaxed with PBE, the powder X-ray diffraction pattern of CaPrHg2 was computed for a wavelength of 1.5418 Å.
No peak broadening, texture or thermal motion is included.

Structural model:
abc: 7.6599 7.6599 7.6599
angles: 90.00 90.00 90.00
Space group Fm-3m (No. 225)
Unique sites:
1 Ca 0.0000 0.0000 0.0000
2 Pr 0.0000 0.0000 0.5000
3 Hg 0.2500 0.2500 0.2500

Peak list (10 most intense, 2θ = 10–90°, sorted by position)
2θ/deg, I_rel, (hkl)
20.08, 6.5, 1 1 1
23.22, 15.8, 2 0 0
33.08, 100.0, 2 2 0
40.81, 5.3, 2 2 2
47.48, 18.3, 4 0 0
53.50, 7.5, 4 2 0
59.08, 38.2, 4 2 2
69.41, 11.8, 4 4 0
79.07, 16.7, 6 2 0
88.42, 4.4, 4 4 4



Record 5
Starting from a cell relaxed with PBE, the powder X-ray diffraction pattern of Y6Ga17Pd5 was computed for a wavelength of 1.5418 Å.
No peak broadening, texture or thermal motion is included.

Structural model:
abc: 15.7584 4.3378 15.7664
angles: 90.00 104.72 90.00
Space group C2/m (No. 12)
Unique sites:
1 Y 0.0974 0.0000 0.4026
2 Y 0.1009 0.5000 0.8994
3 Y 0.2498 0.0000 0.2510
4 Ga 0.0000 0.0000 0.0000
5 Ga 0.0404 0.0000 0.1776
6 Ga 0.0415 0.5000 0.6722
7 Ga 0.1034 0.5000 0.2614
8 Ga 0.1057 0.0000 0.7631
9 Ga 0.1717 0.5000 0.5413
10 Ga 0.1780 0.0000 0.0403
11 Ga 0.2364 0.5000 0.3961
12 Ga 0.2393 0.0000 0.8947
13 Pd 0.0000 0.5000 0.5000
14 Pd 0.0917 0.5000 0.0914
15 Pd 0.1000 0.0000 0.6002

Peak list (10 most intense, 2θ = 10–90°, sorted by position)
2θ/deg, I_rel, (hkl)
34.78, 16.7, 3 1 3
35.24, 100.0, 1 1 -5
36.68, 18.1, 3 1 -5
37.73, 32.8, 1 1 5
41.64, 41.9, 0 2 0
43.50, 19.1, 6 0 -6
43.62, 16.2, 5 1 3
45.63, 21.5, 1 1 -7
47.79, 13.6, 6 0 4
69.04, 15.1, 3 1 -11



Record 6
Starting from a cell relaxed with PBE, the powder X-ray diffraction pattern of CaC2O4 was computed for a wavelength of 1.5418 Å.
No peak broadening, texture or thermal motion is included.

Structural model:
abc: 6.2367 7.4866 9.6681
angles: 90.00 90.88 90.00
Space group P2/m (No. 10)
Unique sites:
1 Ca 0.0863 0.0000 0.3205
2 Ca 0.0952 0.5000 0.1808
3 C 0.0000 0.1046 0.0000
4 C 0.0000 0.3955 0.5000
5 C 0.4311 0.5000 0.9316
6 C 0.4353 0.0000 0.5687
7 O 0.0482 0.1804 0.1135
8 O 0.0484 0.3198 0.3875
9 O 0.2286 0.5000 0.9479
10 O 0.2318 0.0000 0.5533
11 O 0.4626 0.0000 0.3183
12 O 0.4733 0.5000 0.1819

Peak list (10 most intense, 2θ = 10–90°, sorted by position)
2θ/deg, I_rel, (hkl)
14.20, 100.0, 1 0 0
14.97, 59.7, 0 1 1
16.80, 11.3, 1 0 -1
17.04, 11.4, 1 0 1
20.59, 10.9, 1 1 -1
20.79, 11.5, 1 1 1
23.77, 44.9, 0 2 0
28.63, 23.0, 2 0 0
30.21, 33.2, 0 1 3
37.21, 34.7, 0 3 1



Record 7
Starting from a cell relaxed with PBE, the powder X-ray diffraction pattern of Rb3AlBr6 was computed for a wavelength of 1.5418 Å.
No peak broadening, texture or thermal motion is included.

Structural model:
abc: 11.5334 11.5334 11.5334
angles: 90.00 90.00 90.00
Space group Fm-3m (No. 225)
Unique sites:
1 Rb 0.0000 0.0000 0.0000
2 Rb 0.2500 0.2500 0.2500
3 Al 0.0000 0.0000 0.5000
4 Br 0.0000 0.0000 0.2811

Peak list (10 most intense, 2θ = 10–90°, sorted by position)
2θ/deg, I_rel, (hkl)
21.80, 19.9, 2 2 0
26.78, 97.1, 2 2 2
31.02, 100.0, 4 0 0
33.88, 25.7, 3 3 1
40.65, 19.7, 3 3 3
44.43, 63.0, 4 4 0
52.64, 29.5, 6 2 2
55.17, 18.9, 4 4 4
61.78, 16.9, 7 3 1
73.43, 19.4, 8 4 0



Record 8
Starting from a cell relaxed with PBE, the powder X-ray diffraction pattern of TlGaSe2 was computed for a wavelength of 1.5418 Å.
No peak broadening, texture or thermal motion is included.

Structural model:
abc: 10.9663 10.9648 15.8976
angles: 90.00 100.10 90.00
Space group Cc (No. 9)
Unique sites:
1 Tl 0.0000 0.0600 0.0000
2 Tl 0.0671 0.4372 0.7668
3 Tl 0.2496 0.1874 0.4928
4 Tl 0.3231 0.1899 0.7768
5 Ga 0.1365 0.4356 0.0439
6 Ga 0.1789 0.1862 0.2197
7 Ga 0.3826 0.1902 0.0451
8 Ga 0.4286 0.4365 0.2202
9 Se 0.0216 0.3103 0.1304
10 Se 0.0431 0.1865 0.6322
11 Se 0.0742 0.0656 0.3152
12 Se 0.2364 0.3134 0.9476
13 Se 0.2802 0.0511 0.1311
14 Se 0.2834 0.4275 0.6308
15 Se 0.3282 0.3104 0.3142
16 Se 0.4830 0.0608 0.9522

Peak list (10 most intense, 2θ = 10–90°, sorted by position)
2θ/deg, I_rel, (hkl)
22.73, 17.1, 0 0 4
23.12, 44.8, 2 2 0
27.05, 32.9, 2 2 2
30.52, 100.0, 2 2 -4
33.18, 32.1, 4 0 -2
37.05, 20.6, 4 0 2
46.87, 35.6, 4 4 -1
52.81, 19.9, 4 0 -8
52.90, 16.6, 4 0 6
56.99, 25.1, 2 6 3